No. 1
The following is a computed powder diffraction line list of Y2Er3TmSe6. It was derived from a GGA-PBE-relaxed structure, using a wavelength of 1.5418 Å.
No peak broadening, texture or thermal motion is included.

Crystal structure
abc: 17.6464 4.0385 8.1315
angles: 90.00 103.47 90.00
Space group C2/m (No. 12)
One atom of each set of equivalent atoms:
Y1 0.1680 0.0000 0.3353 (multiplicity 4)
Er1 0.0000 0.5000 0.5000 (multiplicity 2)
Er2 0.1688 0.0000 0.8334 (multiplicity 4)
Tm1 0.0000 0.5000 0.0000 (multiplicity 2)
Se1 0.0015 0.0000 0.7524 (multiplicity 4)
Se2 0.1650 0.5000 0.0793 (multiplicity 4)
Se3 0.1649 0.5000 0.5861 (multiplicity 4)

Most intense lines, 10 to 90 degrees two-theta, by intensity:
(1 1 -2), 31.24 deg, I = 100; (5 1 2), 44.77 deg, I = 49; (6 2 0), 55.72 deg, I = 13; (2 0 -4), 44.57 deg, I = 12; (0 2 0), 44.89 deg, I = 12; (8 2 -4), 73.99 deg, I = 11; (4 2 4), 74.11 deg, I = 11; (5 3 2), 82.71 deg, I = 8

---

No. 2
The following is a computed powder diffraction line list of Er2USe4. It was derived from a GGA-PBE-relaxed structure, using a wavelength of 1.5418 Å.
No peak broadening, texture or thermal motion is included.

Crystal structure
abc: 4.1974 4.1974 14.9836
angles: 90.00 90.00 120.00
Space group P3m1 (No. 156)
One atom of each set of equivalent atoms:
Er1 0.0000 0.0000 0.0000 (multiplicity 1)
Er2 0.3333 0.6667 0.2853 (multiplicity 1)
U1 0.6667 0.3333 0.5783 (multiplicity 1)
Se1 0.0000 0.0000 0.1833 (multiplicity 1)
Se2 0.0000 0.0000 0.6738 (multiplicity 1)
Se3 0.6667 0.3333 0.3857 (multiplicity 1)
Se4 0.6667 0.3333 0.9207 (multiplicity 1)

Most intense lines, 10 to 90 degrees two-theta, by intensity:
(0 1 1), 25.21 deg, I = 100; (0 1 2), 27.27 deg, I = 66; (1 1 0), 43.10 deg, I = 66; (0 0 3), 17.76 deg, I = 64; (1 0 6), 43.99 deg, I = 60; (0 1 4), 34.38 deg, I = 56; (0 1 5), 38.95 deg, I = 42; (1 1 3), 46.96 deg, I = 32

---

No. 3
The following is a computed powder diffraction line list of Y3Er4Se8. It was derived from a GGA-PBE-relaxed structure, using a wavelength of 1.5418 Å.
No peak broadening, texture or thermal motion is included.

Crystal structure
abc: 11.4421 11.4449 8.0879
angles: 90.00 134.95 90.00
Space group C2/m (No. 12)
One atom of each set of equivalent atoms:
Y1 0.0000 0.0000 0.0000 (multiplicity 2)
Y2 0.2500 0.2500 0.0000 (multiplicity 4)
Er1 0.0000 0.5000 0.0000 (multiplicity 2)
Er2 0.0000 0.5000 0.5000 (multiplicity 2)
Er3 0.2500 0.2500 0.5000 (multiplicity 4)
Se1 0.0000 0.2476 0.5000 (multiplicity 4)
Se2 0.0000 0.2515 0.0000 (multiplicity 4)
Se3 0.2489 0.0000 0.5030 (multiplicity 4)
Se4 0.2493 0.0000 0.9955 (multiplicity 4)

Most intense lines, 10 to 90 degrees two-theta, by intensity:
(0 4 0), 31.26 deg, I = 100; (4 0 0), 44.80 deg, I = 73; (4 0 2), 74.09 deg, I = 30; (4 4 0), 55.64 deg, I = 26; (4 8 0), 82.59 deg, I = 21; (1 1 0), 13.40 deg, I = 12; (0 8 0), 65.22 deg, I = 12; (3 1 -2), 25.82 deg, I = 9

---

No. 4
The following is a computed powder diffraction line list of Y3ErSe4. It was derived from a GGA-PBE-relaxed structure, using a wavelength of 1.5418 Å.
No peak broadening, texture or thermal motion is included.

Crystal structure
abc: 7.0882 8.0751 7.0787
angles: 90.00 109.29 90.00
Space group P2/c (No. 13)
One atom of each set of equivalent atoms:
Y1 0.0000 0.1242 0.2500 (multiplicity 2)
Y2 0.0000 0.3741 0.7500 (multiplicity 2)
Y3 0.5000 0.1243 0.7500 (multiplicity 2)
Er1 0.5000 0.3743 0.2500 (multiplicity 2)
Se1 0.2516 0.1268 0.0018 (multiplicity 4)
Se2 0.2534 0.3769 0.4998 (multiplicity 4)

Most intense lines, 10 to 90 degrees two-theta, by intensity:
(1 2 1), 31.09 deg, I = 100; (3 2 -1), 44.45 deg, I = 73; (2 0 -2), 30.96 deg, I = 51; (4 0 0), 54.93 deg, I = 19; (2 4 -2), 55.54 deg, I = 19; (2 0 2), 44.19 deg, I = 19; (0 4 0), 44.90 deg, I = 18; (5 2 -3), 73.35 deg, I = 16

---

No. 5
The following is a computed powder diffraction line list of YEr5Se6. It was derived from a GGA-PBE-relaxed structure, using a wavelength of 1.5418 Å.
No peak broadening, texture or thermal motion is included.

Crystal structure
abc: 7.0045 12.1622 6.9915
angles: 90.00 109.58 90.00
Space group C2/m (No. 12)
One atom of each set of equivalent atoms:
Y1 0.0000 0.0000 0.0000 (multiplicity 2)
Er1 0.0000 0.1639 0.5000 (multiplicity 4)
Er2 0.0000 0.3341 0.0000 (multiplicity 4)
Er3 0.0000 0.5000 0.5000 (multiplicity 2)
Se1 0.2470 0.5000 0.2504 (multiplicity 4)
Se2 0.2477 0.3314 0.7478 (multiplicity 8)

Most intense lines, 10 to 90 degrees two-theta, by intensity:
(1 3 1), 31.28 deg, I = 100; (3 3 -1), 44.77 deg, I = 37; (2 0 2), 44.88 deg, I = 37; (5 3 -3), 74.13 deg, I = 17; (2 6 -2), 55.58 deg, I = 13; (4 0 -4), 65.26 deg, I = 12; (3 3 3), 74.26 deg, I = 11; (1 3 -1), 26.96 deg, I = 10

---

No. 6
The following is a computed powder diffraction line list of Y2ErSe4. It was derived from a GGA-PBE-relaxed structure, using a wavelength of 1.5418 Å.
No peak broadening, texture or thermal motion is included.

Crystal structure
abc: 3.9483 13.4514 13.7922
angles: 90.00 90.00 90.00
Space group Cmcm (No. 63)
One atom of each set of equivalent atoms:
Y1 0.0000 0.1300 0.0701 (multiplicity 8)
Er1 0.0000 0.3723 0.2500 (multiplicity 4)
Se1 0.0000 0.0258 0.2500 (multiplicity 4)
Se2 0.0000 0.2217 0.6234 (multiplicity 8)
Se3 0.0000 0.5000 0.0000 (multiplicity 4)

Most intense lines, 10 to 90 degrees two-theta, by intensity:
(1 3 2), 32.90 deg, I = 100; (1 3 1), 30.86 deg, I = 77; (0 2 3), 23.44 deg, I = 70; (1 1 5), 40.45 deg, I = 50; (0 2 4), 29.10 deg, I = 48; (0 6 3), 44.97 deg, I = 47; (1 5 2), 42.73 deg, I = 34; (2 0 0), 45.97 deg, I = 33

---

No. 7
The following is a computed powder diffraction line list of ErZnSe. It was derived from a GGA-PBE-relaxed structure, using a wavelength of 1.5418 Å.
No peak broadening, texture or thermal motion is included.

Crystal structure
abc: 3.9561 3.9561 8.5380
angles: 90.00 90.00 90.00
Space group P4/nmm (No. 129, origin choice 2)
One atom of each set of equivalent atoms:
Er1 0.2500 0.2500 0.1950 (multiplicity 2)
Zn1 0.2500 0.7500 0.5000 (multiplicity 2)
Se1 0.2500 0.2500 0.8497 (multiplicity 2)

Most intense lines, 10 to 90 degrees two-theta, by intensity:
(1 1 2), 38.47 deg, I = 100; (1 1 1), 33.72 deg, I = 87; (0 0 3), 31.43 deg, I = 72; (2 0 0), 45.88 deg, I = 60; (2 0 3), 56.67 deg, I = 53; (1 0 1), 24.80 deg, I = 51; (1 1 0), 31.99 deg, I = 49; (1 1 3), 45.46 deg, I = 27

---

No. 8
The following is a computed powder diffraction line list of Er7ZnSe5. It was derived from a GGA-PBE-relaxed structure, using a wavelength of 1.5418 Å.
No peak broadening, texture or thermal motion is included.

Crystal structure
abc: 3.9879 24.0566 6.8896
angles: 90.00 106.82 90.00
Space group P2_1 (No. 4)
One atom of each set of equivalent atoms:
Er1 0.0304 0.0000 0.0613 (multiplicity 2)
Er2 0.1377 0.2867 0.2758 (multiplicity 2)
Er3 0.1392 0.7129 0.2786 (multiplicity 2)
Er4 0.3070 0.0699 0.6145 (multiplicity 2)
Er5 0.3086 0.9297 0.6176 (multiplicity 2)
Er6 0.4080 0.3664 0.8150 (multiplicity 2)
Er7 0.4096 0.6334 0.8181 (multiplicity 2)
Zn1 0.3048 0.4993 0.6104 (multiplicity 2)
Se1 0.0522 0.3922 0.1039 (multiplicity 2)
Se2 0.0538 0.6075 0.1071 (multiplicity 2)
Se3 0.2222 0.1782 0.4444 (multiplicity 2)
Se4 0.2237 0.8214 0.4471 (multiplicity 2)
Se5 0.4992 0.2498 0.9985 (multiplicity 2)

Most intense lines, 10 to 90 degrees two-theta, by intensity:
(1 2 1), 31.18 deg, I = 100; (0 7 1), 29.30 deg, I = 82; (1 3 1), 32.30 deg, I = 66; (0 8 1), 32.73 deg, I = 41; (2 0 -1), 45.49 deg, I = 38; (1 9 0), 41.23 deg, I = 37; (1 5 2), 45.32 deg, I = 33; (1 1 1), 30.49 deg, I = 32

---

No. 9
The following is a computed powder diffraction line list of Er5Si6. It was derived from a GGA-PBE-relaxed structure, using a wavelength of 1.5418 Å.
No peak broadening, texture or thermal motion is included.

Crystal structure
abc: 3.8173 27.9395 4.1963
angles: 90.00 90.00 90.00
Space group Cmmm (No. 65)
One atom of each set of equivalent atoms:
Er1 0.0000 0.0000 0.0000 (multiplicity 2)
Er2 0.0000 0.1972 0.5000 (multiplicity 4)
Er3 0.0000 0.3856 0.0000 (multiplicity 4)
Si1 0.0000 0.0946 0.5000 (multiplicity 4)
Si2 0.0000 0.2785 0.0000 (multiplicity 4)
Si3 0.0000 0.4585 0.5000 (multiplicity 4)

Most intense lines, 10 to 90 degrees two-theta, by intensity:
(1 3 1), 33.15 deg, I = 100; (1 5 0), 28.31 deg, I = 68; (0 8 1), 33.38 deg, I = 59; (0 2 1), 22.12 deg, I = 31; (0 10 0), 32.03 deg, I = 28; (1 5 2), 52.39 deg, I = 27; (1 13 1), 53.59 deg, I = 25; (0 0 2), 43.11 deg, I = 24